Calculated powder diffractogram
Compound: DyHo2In3Cu3
Radiation: λ = 1.5418 Å (Cu Kα)
Structure: a structure optimized by DFT (GGA-PBE)

Crystal structure
abc: 3.8414 7.5363 7.5363
angles: 120.01 90.00 90.00
Fractional coordinates of all 9 atoms:
Dy (0.0000, 0.0000, 0.0000)
Ho (0.0000, 0.1843, 0.5920)
Ho (0.0000, 0.5920, 0.1843)
In (0.5000, 0.3342, 0.3342)
In (0.5000, 0.5916, 0.8499)
In (0.5000, 0.8499, 0.5916)
Cu (0.0000, 0.5917, 0.5917)
Cu (0.5000, 0.2591, 0.9250)
Cu (0.5000, 0.9250, 0.2591)

Largest 8 diffraction maxima, most intense first, 2θ = 5–70°:
| 2θ/deg | intensity |
| --- | --- |
| 33.3 | 100 |
| 36.1 | 69 |
| 36.4 | 49 |
| 41.5 | 26 |
| 67.1 | 24 |
| 56.2 | 21 |
| 61.2 | 21 |
| 47.3 | 19 |